Starting from a crystal structure in Alexandria, relaxed with GGA+U, the powder X-ray diffraction pattern of Na2SrVP2O9 was computed for Cu Kα (λ = 1.5418 Å).

Cell and atoms:
```
60
Lattice="10.8033 0.0000 0.0000 0.0000 6.7272 0.0000 0.0000 0.0000 10.3702" Properties=species:S:1:pos:R:3 pbc="T T T"
Na 2.3634 0.0034 1.4189
Na 2.3634 3.3602 1.4189
Na 3.0382 3.3670 6.6040
Na 3.0382 6.7238 6.6040
Na 7.7651 0.0034 3.7662
Na 7.7651 3.3602 3.7662
Na 8.4399 3.3670 8.9514
Na 8.4399 6.7238 8.9514
Sr 0.6288 5.0454 4.2002
Sr 4.7729 1.6818 9.3853
Sr 6.0305 5.0454 0.9849
Sr 10.1745 1.6818 6.1700
V 0.3039 5.0454 8.4278
V 5.0977 1.6818 3.2427
V 5.7056 5.0454 7.1275
V 10.4994 1.6818 1.9424
P 0.9237 1.6818 9.0094
P 1.9849 1.6818 4.3134
P 3.4168 5.0454 9.4985
P 4.4779 5.0454 3.8243
P 6.3254 1.6818 6.5459
P 7.3866 1.6818 0.8717
P 8.8184 5.0454 6.0568
P 9.8796 5.0454 1.3608
O 0.0813 0.4408 8.4939
O 0.0813 2.9227 8.4939
O 1.0151 1.6818 0.1878
O 1.1260 5.0454 6.9809
O 1.4174 0.4503 5.0398
O 1.4174 2.9133 5.0398
O 1.5883 1.6818 2.8079
O 1.8657 5.0454 9.6607
O 2.3210 1.6818 8.3462
O 3.0807 5.0454 3.1611
O 3.5360 1.6818 4.4756
O 3.8134 5.0454 7.9931
O 3.9843 3.8139 10.2249
O 3.9843 6.2769 10.2249
O 4.2756 1.6818 1.7958
O 4.3865 5.0454 5.3729
O 5.3203 3.8044 3.3087
O 5.3203 6.2863 3.3087
O 5.4830 0.4408 7.0615
O 5.4830 2.9227 7.0615
O 6.4168 1.6818 4.9973
O 6.5277 5.0454 8.5744
O 6.8191 0.4503 0.1454
O 6.8191 2.9133 0.1454
O 6.9900 1.6818 2.3772
O 7.2673 5.0454 5.8946
O 7.7226 1.6818 7.2092
O 8.4824 5.0454 2.0241
O 8.9376 1.6818 0.7095
O 9.2150 5.0454 7.5623
O 9.3859 3.8139 5.3305
O 9.3859 6.2769 5.3305
O 9.6773 1.6818 3.3893
O 9.7882 5.0454 10.1825
O 10.7220 3.8044 1.8764
O 10.7220 6.2863 1.8764
```

Principal peaks in the range 10° ≤ 2θ ≤ 80°, most intense first:
2θ (°)  Rel. int.
32.8  100
26.5  91
33.5  74
30.2  73
29.4  70
44.9  46
33.1  44
16.4  43
31.3  39
23.2  38